Starting from a cell relaxed with GGA+U, the X-ray diffraction stick pattern of Na2InNiF7 was simulated for copper Kα.
No peak broadening, texture or thermal motion is included.

Cell and atoms:
abc: 10.411 7.430 7.582
angles: 90.00 90.00 90.00
Space group Pnma (No. 62)
Symmetry-distinct sites (fractional):
Na1 0.000 0.000 0.000 (multiplicity 4)
Na2 0.231 0.250 0.253 (multiplicity 4)
In1 0.231 0.250 0.727 (multiplicity 4)
Ni1 0.000 0.000 0.500 (multiplicity 4)
F1 0.069 0.250 0.483 (multiplicity 4)
F2 0.129 0.552 0.308 (multiplicity 8)
F3 0.131 0.506 0.697 (multiplicity 8)
F4 0.140 0.250 0.975 (multiplicity 4)
F5 0.153 0.750 0.002 (multiplicity 4)

Principal peaks in the range 2θ = 5–70°, in order of falling intensity:
29.14°, I 100.0
49.03°, I 98.1
29.54°, I 89.2
16.71°, I 77.4
23.95°, I 53.9
14.45°, I 32.4
58.07°, I 25.8
57.37°, I 22.6